Starting from the GGA+U geometry in Alexandria, the powder X-ray diffraction pattern of V11NiO18 was computed for Cu Kα.
Intensities are scaled so that the largest is 100.

Principal peaks in the range 2θ = 5–70°, most intense first:
hkl 2 0 -1, 2θ = 32.49°, I 100; hkl 0 0 3, 2θ = 34.98°, I 54; hkl 2 -2 3, 2θ = 52.89°, I 37; hkl 1 0 1, 2θ = 23.68°, I 33; hkl 2 4 -3, 2θ = 62.92°, I 26; hkl 1 2 -3, 2θ = 35.12°, I 26; hkl 3 0 -3, 2θ = 52.99°, I 25; hkl 0 4 1, 2θ = 61.18°, I 23; hkl 0 2 -1, 2θ = 23.77°, I 17; hkl 2 1 0, 2θ = 40.05°, I 15

Structural model:
a = 5.5469 Å, b = 7.5298 Å, c = 8.8680 Å
α = 112.89°, β = 105.35°, γ = 96.18°
Space group P1 (No. 1)
Symmetry-distinct sites (fractional):
V 0.0000 0.0000 0.0000
V 0.0000 0.4997 0.0060
V 0.0676 0.9644 0.3343
V 0.0696 0.4700 0.3318
V 0.3325 0.3347 0.6657
V 0.3364 0.8335 0.6660
V 0.4007 0.2997 0.9992
V 0.4069 0.7994 0.0032
V 0.6658 0.1692 0.3338
V 0.7362 0.1317 0.6655
V 0.7397 0.6328 0.6658
Ni 0.6665 0.6727 0.3376
O 0.0005 0.2033 0.9011
O 0.0824 0.7683 0.4361
O 0.0959 0.7927 0.1010
O 0.1082 0.8008 0.8008
O 0.2943 0.5021 0.9003
O 0.3014 0.5014 0.1981
O 0.3332 0.5268 0.5644
O 0.4026 0.1029 0.0993
O 0.4297 0.1319 0.4626
O 0.4350 0.1389 0.7696
O 0.6403 0.8380 0.5736
O 0.6406 0.8359 0.8697
O 0.6684 0.8696 0.2326
O 0.7486 0.4397 0.7752
O 0.7735 0.4651 0.1164
O 0.7734 0.4646 0.4369
O 0.9694 0.1681 0.5377
O 0.9690 0.1716 0.2308